The following is a theoretical PXRD pattern of Rb3Pm3TaO8. It was derived from a crystal structure in Alexandria, relaxed with GGA-PBE, using Cu Kα, 1.54184 Å.
Kinematic intensities with the Lorentz-polarization factor, no thermal factor.

Structure:
Unit cell a=7.8584 b=7.8584 c=7.8584 alpha=53.01 beta=53.01 gamma=53.01
Element x y z (fractional)
Rb1 0.0000 0.5000 0.5000
Rb2 0.5000 0.0000 0.5000
Rb3 0.5000 0.5000 0.0000
Pm1 0.0000 0.0000 0.5000
Pm2 0.0000 0.5000 0.0000
Pm3 0.5000 0.0000 0.0000
Ta1 0.5000 0.5000 0.5000
O1 0.2281 0.2281 0.2281
O2 0.2675 0.6967 0.6967
O3 0.3033 0.3033 0.7325
O4 0.3033 0.7325 0.3033
O5 0.6967 0.2675 0.6967
O6 0.6967 0.6967 0.2675
O7 0.7325 0.3033 0.3033
O8 0.7719 0.7719 0.7719

Top 6 peaks for 2θ from 10° to 90°, most intense first:
| d_spacing | 2θ (°) | I_rel |
| --- | --- | --- |
| 2.603 | 34.46 | 100 |
| 2.908 | 30.74 | 81 |
| 6.735 | 13.15 | 65 |
| 3.367 | 26.47 | 48 |
| 1.942 | 46.78 | 37 |
| 1.555 | 59.43 | 30 |